Diffraction record for GdMg2Ni9. The X-ray diffraction stick pattern is calculated, not measured: it uses DFT lattice parameters and positions (GGA-PBE) and Cu Ka.

Peak list (12 most intense, 15 to 90 degrees two-theta, most intense first)
2θ 43.87, rel. 100; 2θ 43.20, rel. 31; 2θ 46.34, rel. 29; 2θ 26.05, rel. 26; 2θ 37.03, rel. 23; 2θ 71.48, rel. 22; 2θ 43.74, rel. 21; 2θ 78.85, rel. 19; 2θ 37.33, rel. 18; 2θ 38.83, rel. 17; 2θ 47.36, rel. 16; 2θ 34.16, rel. 13

Structure:
a = 8.324 Å, b = 8.324 Å, c = 8.324 Å
α = 33.91°, β = 33.91°, γ = 33.91°
Element x y z (fractional)
Gd (0.000, 0.000, 0.000)
Mg (0.144, 0.144, 0.144)
Mg (0.856, 0.856, 0.856)
Ni (0.082, 0.586, 0.586)
Ni (0.333, 0.333, 0.333)
Ni (0.414, 0.414, 0.918)
Ni (0.414, 0.918, 0.414)
Ni (0.500, 0.500, 0.500)
Ni (0.586, 0.082, 0.586)
Ni (0.586, 0.586, 0.082)
Ni (0.667, 0.667, 0.667)
Ni (0.918, 0.414, 0.414)